Starting from a DFT-relaxed cell (PBE, Alexandria), the powder XRD pattern of Ba6InN2 was computed for Cu Kα X-rays.

Structural model:
Cell lengths 13.839, 5.748, 10.297 Å; angles 90.00, 107.41, 90.00 degrees
Space group C2/m (No. 12)
One atom of each set of equivalent atoms:
Ba (0.042, 0.000, 0.186)
Ba (0.161, 0.500, 0.625)
Ba (0.213, 0.500, 0.081)
In (0.000, 0.000, 0.500)
N (0.210, 0.000, 0.130)

Principal peaks in the range 2θ = 10–90°, by angle:
- 2θ = 23.23°, I 51, hkl 1 1 -2
- 2θ = 25.49°, I 100, hkl 3 1 0
- 2θ = 25.64°, I 36, hkl 2 0 2
- 2θ = 26.52°, I 21, hkl 2 0 -3
- 2θ = 27.59°, I 20, hkl 3 1 -2
- 2θ = 29.08°, I 19, hkl 3 1 1
- 2θ = 30.36°, I 40, hkl 1 1 -3
- 2θ = 31.12°, I 52, hkl 0 2 0
- 2θ = 40.09°, I 23, hkl 5 1 -3
- 2θ = 40.77°, I 31, hkl 2 2 2